Starting from a structure optimized by DFT (PBE), the powder diffraction line list of SmGaPd2 was simulated for copper Kα.
Peak positions follow from Bragg's law for the DFT cell and can differ from measured ones.

Main lines, by angle (10° ≤ 2θ ≤ 90°):
| two_theta | intensity | hkl |
| --- | --- | --- |
| 31.1 | 51 | 2 1 1 |
| 31.8 | 41 | 1 2 1 |
| 33.7 | 31 | 1 0 2 |
| 34.5 | 74 | 2 2 0 |
| 36.0 | 100 | 1 1 2 |
| 38.1 | 57 | 2 2 1 |
| 39.2 | 64 | 3 0 1 |
| 42.3 | 33 | 1 2 2 |
| 42.7 | 45 | 1 3 1 |
| 62.8 | 45 | 4 3 0 |

Cell and atoms:
Cell lengths 7.5347, 7.1862, 5.6901 Å; angles 90.00, 90.00, 90.00 degrees
Space group Pnma (No. 62)
One atom of each set of equivalent atoms:
Sm 0.0329 0.2500 0.1495 [4 per cell]
Ga 0.1180 0.7500 0.3502 [4 per cell]
Pd 0.1787 0.0519 0.5878 [8 per cell]

***

Starting from a structure optimized by DFT (PBE), the powder diffraction line list of SrGa3Pd was simulated for copper Kα.
Peak positions follow from Bragg's law for the DFT cell and can differ from measured ones.

Main lines, by angle (10° ≤ 2θ ≤ 90°):
| two_theta | intensity | hkl |
| --- | --- | --- |
| 27.5 | 11 | 2 0 0 |
| 32.5 | 100 | 2 2 0 |
| 34.2 | 37 | 0 2 2 |
| 37.1 | 14 | 0 4 1 |
| 40.8 | 70 | 2 0 2 |
| 45.6 | 11 | 0 4 2 |
| 46.9 | 15 | 2 4 1 |
| 51.9 | 16 | 3 3 1 |
| 54.3 | 15 | 1 3 3 |
| 56.9 | 11 | 4 0 0 |

Cell and atoms:
Cell lengths 6.4769, 10.5686, 6.0489 Å; angles 90.00, 90.00, 90.00 degrees
Space group Cmcm (No. 63)
One atom of each set of equivalent atoms:
Sr 0.0000 0.2349 0.2500 [4 per cell]
Ga 0.0000 0.3374 0.7500 [4 per cell]
Ga 0.2191 0.5000 0.0000 [8 per cell]
Pd 0.0000 0.0976 0.7500 [4 per cell]